Computed powder diffraction line list of FeH12PdC20N8 for Cu Kα (λ = 1.5418 Å), from the PBE geometry in OQMD.

Peak list (10 most intense, 10 to 80 degrees two-theta, sorted by position)
2θ = 17.81°, I 100.0, (1 -1 0)
2θ = 19.79°, I 76.5, (0 0 2)
2θ = 19.91°, I 68.6, (1 1 0)
2θ = 20.28°, I 37.8, (-1 1 1)
2θ = 20.48°, I 42.1, (1 -1 1)
2θ = 20.90°, I 33.8, (1 1 -2)
2θ = 25.29°, I 76.0, (0 2 -1)
2θ = 29.87°, I 27.5, (0 0 3)
2θ = 36.07°, I 27.1, (2 2 -2)
2θ = 40.48°, I 28.7, (2 2 0)

Cell lengths 7.0458, 7.0528, 10.0279 Å; angles 107.96, 108.82, 90.02 degrees
Sites, in units of the cell vectors:
1 Fe 0.0000 0.0000 0.0000
2 H 0.0640 0.5561 0.1804
3 H 0.2301 0.3232 0.7458
4 H 0.2853 0.8816 0.8408
5 H 0.3681 0.1670 0.5337
6 H 0.3961 0.5776 0.3713
7 H 0.4472 0.7342 0.6431
8 H 0.5528 0.2658 0.3569
9 H 0.6039 0.4224 0.6287
10 H 0.6319 0.8330 0.4663
11 H 0.7147 0.1184 0.1592
12 H 0.7699 0.6768 0.2542
13 H 0.9360 0.4439 0.8196
14 Pd 0.5000 0.5000 0.0000
15 C 0.0594 0.2331 0.5091
16 C 0.0808 0.6201 0.2978
17 C 0.0826 0.3130 0.6613
18 C 0.1320 0.7829 0.6009
19 C 0.1424 0.8618 0.7507
20 C 0.2184 0.1662 0.4551
21 C 0.2709 0.6344 0.4076
22 C 0.2993 0.7172 0.5576
23 C 0.3105 0.7030 0.0317
24 C 0.3268 0.3107 0.0335
25 C 0.6732 0.6893 0.9665
26 C 0.6895 0.2970 0.9683
27 C 0.7007 0.2828 0.4424
28 C 0.7291 0.3656 0.5924
29 C 0.7816 0.8338 0.5449
30 C 0.8576 0.1382 0.2493
31 C 0.8680 0.2171 0.3991
32 C 0.9174 0.6870 0.3387
33 C 0.9192 0.3799 0.7022
34 C 0.9406 0.7669 0.4909
35 N 0.0186 0.0903 0.2098
36 N 0.1910 0.8180 0.0330
37 N 0.2025 0.1023 0.3137
38 N 0.2081 0.1965 0.0359
39 N 0.7919 0.8035 0.9641
40 N 0.7975 0.8977 0.6863
41 N 0.8090 0.1820 0.9670
42 N 0.9814 0.9097 0.7902